This entry pairs a crystal structure of Cd2FeSe with its theoretical X-ray powder pattern. Radiation: Cu Kα X-rays. Structure: a GGA-PBE-relaxed structure.

Crystal structure
a b c (Å): 7.276 7.276 3.935
angles (deg): 105.62 105.62 23.54
Fractional positions:
Cd  0.183  0.183  0.183
Cd  0.817  0.817  0.817
Fe  0.500  0.500  0.000
Se  0.000  0.000  0.500

The 10 most intense peaks (2θ from 10° to 80°), in order of rising 2θ:
d = 2.980 Å, rel. 76.5; d = 2.488 Å, rel. 31.9; d = 2.283 Å, rel. 33.6; d = 2.248 Å, rel. 18.5; d = 2.239 Å, rel. 100.0; d = 2.013 Å, rel. 20.2; d = 1.967 Å, rel. 26.7; d = 1.948 Å, rel. 21.1; d = 1.490 Å, rel. 16.5; d = 1.388 Å, rel. 31.4



This entry pairs a crystal structure of CdFeSi with its theoretical X-ray powder pattern. Radiation: Cu Kα X-rays. Structure: a GGA-PBE-relaxed structure.

Crystal structure
a b c (Å): 2.915 2.915 6.372
angles (deg): 90.00 90.00 120.00
Fractional positions:
Cd  0.000  0.000  0.000
Fe  0.333  0.667  0.355
Si  0.667  0.333  0.604

The 10 most intense peaks (2θ from 10° to 80°), in order of rising 2θ:
d = 6.372 Å, rel. 29.9; d = 3.186 Å, rel. 20.0; d = 2.525 Å, rel. 14.7; d = 2.347 Å, rel. 100.0; d = 2.124 Å, rel. 16.4; d = 1.979 Å, rel. 48.5; d = 1.625 Å, rel. 12.7; d = 1.458 Å, rel. 17.4; d = 1.347 Å, rel. 15.9; d = 1.202 Å, rel. 14.2



This entry pairs a crystal structure of SrCd2Fe with its theoretical X-ray powder pattern. Radiation: Cu Kα X-rays. Structure: a GGA-PBE-relaxed structure.

Crystal structure
a b c (Å): 3.467 3.467 7.779
angles (deg): 90.00 90.00 90.00
Fractional positions:
Sr  0.000  0.000  0.000
Cd  0.500  0.500  0.310
Cd  0.500  0.500  0.690
Fe  0.000  0.000  0.500

The 10 most intense peaks (2θ from 10° to 80°), in order of rising 2θ:
d = 7.779 Å, rel. 10.0; d = 3.467 Å, rel. 6.4; d = 3.167 Å, rel. 19.5; d = 2.589 Å, rel. 100.0; d = 2.452 Å, rel. 53.7; d = 2.077 Å, rel. 14.7; d = 1.782 Å, rel. 15.9; d = 1.734 Å, rel. 18.0; d = 1.441 Å, rel. 34.3; d = 1.419 Å, rel. 8.1